Computed powder XRD pattern of LiFePO4 for λ = 1.5418 Å (Cu Kα), from DFT lattice parameters and positions (GGA+U).
Lines closer than 0.1° are merged.

Atomic structure:
```
28
Lattice="7.2217 0.0000 0.0000 0.0000 7.2217 0.0000 0.0000 0.0000 7.2217" Properties=species:S:1:pos:R:3 pbc="T T T"
Li 1.4226 2.1882 5.0335
Li 2.1882 5.0335 1.4226
Li 5.0335 1.4226 2.1882
Li 5.7990 5.7990 5.7990
Fe 1.7776 1.7776 1.7776
Fe 1.8333 5.4441 5.3884
Fe 5.3884 1.8333 5.4441
Fe 5.4441 5.3884 1.8333
P 0.2382 6.9834 3.3726
P 3.3726 0.2382 6.9834
P 3.8491 3.8491 3.8491
P 6.9834 3.3726 0.2382
O 0.2130 6.4607 4.8550
O 0.7609 1.2442 3.3978
O 1.1107 6.1109 2.5001
O 1.2442 3.3978 0.7609
O 2.3666 3.8238 4.3717
O 2.5001 1.1107 6.1109
O 2.8499 5.9774 7.0086
O 3.3978 0.7609 1.2442
O 3.8238 4.3717 2.3666
O 4.3717 2.3666 3.8238
O 4.7216 4.7216 4.7216
O 4.8550 0.2130 6.4607
O 5.9774 7.0086 2.8499
O 6.1109 2.5001 1.1107
O 6.4607 4.8550 0.2130
O 7.0086 2.8499 5.9774
```

Principal peaks in the range 2θ from 10° to 80°, sorted by position:
| 2theta | I (rel.) |
| --- | --- |
| 21.3 | 100 |
| 24.7 | 9 |
| 27.6 | 14 |
| 35.1 | 52 |
| 39.5 | 12 |
| 41.5 | 27 |
| 55.5 | 15 |
| 63.1 | 15 |
| 67.4 | 14 |
| 78.3 | 10 |